[1]
Diffraction record for RbPuCu2Br8. The XRD peak list is calculated, not measured: it uses DFT lattice parameters and positions (GGA-PBE) and CuKα.

Structural model:
Cell: 9.992 9.992 8.258 Å, 90.00 90.00 90.00°
Space group I-4m2 (No. 119)
Asymmetric unit:
Rb1 0.000 0.000 0.000 [2 per cell]
Pu1 0.000 0.500 0.250 [2 per cell]
Cu1 0.000 0.000 0.500 [2 per cell]
Cu2 0.000 0.500 0.750 [2 per cell]
Br1 0.000 0.207 0.341 [8 per cell]
Br2 0.000 0.330 0.954 [8 per cell]

Main lines, by intensity (15° ≤ 2θ ≤ 90°):
h k l, d (Å), I_rel
2 0 0, 4.996, 100.0
3 1 2, 2.509, 70.9
3 0 1, 3.089, 50.7
3 3 2, 2.046, 42.5
2 0 2, 3.183, 39.0
4 0 0, 2.498, 35.2
3 2 1, 2.627, 25.3
1 0 3, 2.654, 24.6
1 1 2, 3.565, 23.6
4 3 1, 1.942, 19.3
6 0 0, 1.665, 14.4
5 3 2, 1.583, 14.0


[2]
Diffraction record for CdInCl2F. The XRD peak list is calculated, not measured: it uses DFT lattice parameters and positions (GGA-PBE) and CuKα.

Structural model:
Cell: 7.547 7.547 8.780 Å, 90.00 90.00 90.00°
Space group I4cm (No. 108)
Asymmetric unit:
Cd1 0.000 0.000 0.000 [4 per cell]
In1 0.000 0.500 0.249 [4 per cell]
Cl1 0.233 0.267 0.000 [8 per cell]
F1 0.000 0.000 0.250 [4 per cell]

Main lines, by intensity (15° ≤ 2θ ≤ 90°):
h k l, d (Å), I_rel
1 1 2, 3.390, 100.0
2 2 0, 2.668, 61.2
3 1 2, 2.097, 54.3
2 0 0, 3.774, 47.2
2 2 4, 1.695, 28.7
4 0 0, 1.887, 20.3
0 0 4, 2.195, 17.3
4 0 4, 1.431, 15.4
2 0 4, 1.897, 14.5
5 1 2, 1.403, 13.8
2 0 2, 2.862, 12.6
3 3 2, 1.649, 11.6


[3]
Diffraction record for LaSm3Al2. The XRD peak list is calculated, not measured: it uses DFT lattice parameters and positions (GGA-PBE) and CuKα.

Structural model:
Cell: 5.235 9.850 6.690 Å, 90.00 90.00 90.00°
Space group Pmc2_1 (No. 26)
Asymmetric unit:
La1 0.000 0.045 0.000 [2 per cell]
Sm1 0.000 0.328 0.655 [2 per cell]
Sm2 0.500 0.179 0.280 [2 per cell]
Sm3 0.500 0.453 0.940 [2 per cell]
Al1 0.000 0.356 0.177 [2 per cell]
Al2 0.500 0.149 0.757 [2 per cell]

Main lines, by intensity (15° ≤ 2θ ≤ 90°):
h k l, d (Å), I_rel
1 3 0, 2.782, 100.0
1 1 2, 2.710, 95.2
2 0 0, 2.618, 61.5
1 1 1, 3.803, 56.2
1 2 1, 3.161, 54.7
0 2 2, 2.767, 45.4
1 0 2, 2.819, 43.6
0 2 1, 3.966, 35.3
2 2 2, 1.902, 30.4
1 4 3, 1.576, 27.9
0 3 1, 2.947, 23.6
0 3 2, 2.343, 20.0


[4]
Diffraction record for MnCo6Mo. The XRD peak list is calculated, not measured: it uses DFT lattice parameters and positions (GGA-PBE) and CuKα.

Structural model:
Cell: 4.043 5.061 4.397 Å, 90.00 90.00 90.00°
Space group Pmm2 (No. 25)
Asymmetric unit:
Mn1 0.000 0.000 0.000 [1 per cell]
Co1 0.000 0.242 0.502 [2 per cell]
Co2 0.000 0.500 0.027 [1 per cell]
Co3 0.500 0.000 0.674 [1 per cell]
Co4 0.500 0.242 0.174 [2 per cell]
Mo1 0.500 0.500 0.676 [1 per cell]

Main lines, by intensity (15° ≤ 2θ ≤ 90°):
h k l, d (Å), I_rel
1 2 1, 1.929, 100.0
2 0 0, 2.022, 26.1
0 2 1, 2.193, 17.1
3 2 1, 1.149, 16.4
2 2 1, 1.487, 13.7
0 2 3, 1.268, 9.9
0 0 2, 2.199, 8.6
0 4 0, 1.265, 4.9
1 1 1, 2.566, 2.5
0 4 2, 1.097, 1.6
1 0 0, 4.043, 1.1
1 0 1, 2.976, 1.1


[5]
Diffraction record for RbCa2Ta3O10. The XRD peak list is calculated, not measured: it uses DFT lattice parameters and positions (GGA-PBE) and CuKα.

Structural model:
Cell: 3.941 3.941 15.322 Å, 90.00 90.00 90.00°
Space group P4/mmm (No. 123)
Asymmetric unit:
Rb1 0.000 0.000 0.000 [1 per cell]
Ca1 0.000 0.000 0.350 [2 per cell]
Ta1 0.500 0.500 0.220 [2 per cell]
Ta2 0.500 0.500 0.500 [1 per cell]
O1 0.000 0.500 0.248 [4 per cell]
O2 0.000 0.500 0.500 [2 per cell]
O3 0.500 0.500 0.103 [2 per cell]
O4 0.500 0.500 0.371 [2 per cell]

Main lines, by intensity (15° ≤ 2θ ≤ 90°):
h k l, d (Å), I_rel
1 0 3, 3.120, 100.0
1 1 0, 2.787, 61.5
1 0 0, 3.941, 61.3
0 0 4, 3.827, 50.9
2 0 0, 1.970, 36.6
1 0 4, 2.747, 34.2
1 0 7, 1.914, 33.6
2 1 3, 1.666, 31.8
2 1 7, 1.373, 25.3
1 0 2, 3.504, 21.0
2 0 4, 1.752, 20.2
1 1 7, 1.721, 18.3


[6]
Diffraction record for RbLiTlO2. The XRD peak list is calculated, not measured: it uses DFT lattice parameters and positions (GGA-PBE) and CuKα.

Structural model:
Cell: 6.698 13.042 4.924 Å, 90.00 90.00 90.00°
Space group Cmme (No. 67)
Asymmetric unit:
Rb1 0.000 0.250 0.238 [4 per cell]
Li1 0.000 0.000 0.000 [4 per cell]
Tl1 0.250 0.000 0.500 [4 per cell]
O1 0.000 0.095 0.729 [8 per cell]

Main lines, by intensity (15° ≤ 2θ ≤ 90°):
h k l, d (Å), I_rel
0 2 1, 3.929, 100.0
2 2 0, 2.979, 88.4
0 0 1, 4.924, 76.9
2 2 1, 2.549, 62.2
0 4 0, 3.261, 54.6
0 2 2, 2.303, 46.9
2 4 1, 2.111, 43.0
2 0 1, 2.769, 42.9
2 0 2, 1.984, 37.0
1 3 1, 2.930, 34.2
0 4 1, 2.719, 32.7
2 4 2, 1.695, 32.0


[7]
Diffraction record for Ac12Tb3Sm. The XRD peak list is calculated, not measured: it uses DFT lattice parameters and positions (GGA-PBE) and CuKα.

Structural model:
Cell: 5.501 5.501 21.960 Å, 90.00 90.00 90.00°
Space group P4/mmm (No. 123)
Asymmetric unit:
Ac1 0.000 0.000 0.000 [1 per cell]
Ac2 0.000 0.000 0.249 [2 per cell]
Ac3 0.000 0.000 0.500 [1 per cell]
Ac4 0.000 0.500 0.125 [4 per cell]
Ac5 0.000 0.500 0.374 [4 per cell]
Tb1 0.500 0.500 0.000 [1 per cell]
Tb2 0.500 0.500 0.249 [2 per cell]
Sm1 0.500 0.500 0.500 [1 per cell]

Main lines, by intensity (15° ≤ 2θ ≤ 90°):
h k l, d (Å), I_rel
1 1 4, 3.174, 100.0
2 0 0, 2.748, 51.5
3 1 4, 1.657, 46.9
2 2 0, 1.943, 38.5
3 3 4, 1.261, 19.2
2 2 8, 1.587, 13.6
4 2 0, 1.230, 11.9
4 2 8, 1.122, 9.2
2 0 16, 1.228, 5.9
2 2 16, 1.121, 4.6
4 0 0, 1.375, 4.2
0 0 16, 1.372, 2.1


[8]
Diffraction record for Sr5U5O19. The XRD peak list is calculated, not measured: it uses DFT lattice parameters and positions (GGA-PBE) and CuKα.

Structural model:
Cell: 12.694 4.041 17.242 Å, 90.00 100.95 90.00°
Space group Cm (No. 8)
Asymmetric unit:
Sr1 0.000 0.000 0.000 [2 per cell]
Sr2 0.074 0.500 0.198 [2 per cell]
Sr3 0.190 0.000 0.401 [2 per cell]
Sr4 0.290 0.500 0.600 [2 per cell]
Sr5 0.389 0.000 0.798 [2 per cell]
U1 0.088 0.000 0.697 [2 per cell]
U2 0.186 0.500 0.890 [2 per cell]
U3 0.290 0.000 0.094 [2 per cell]
U4 0.394 0.500 0.312 [2 per cell]
U5 0.492 0.000 0.504 [2 per cell]
O1 0.037 0.000 0.281 [2 per cell]
O2 0.041 0.500 0.917 [2 per cell]
O3 0.086 0.500 0.769 [2 per cell]
O4 0.093 0.500 0.625 [2 per cell]
O5 0.139 0.500 0.477 [2 per cell]
O6 0.143 0.000 0.128 [2 per cell]
O7 0.191 0.000 0.824 [2 per cell]
O8 0.199 0.000 0.972 [2 per cell]
O9 0.237 0.000 0.676 [2 per cell]
O10 0.238 0.500 0.317 [2 per cell]
O11 0.290 0.500 0.068 [2 per cell]
O12 0.339 0.500 0.882 [2 per cell]
O13 0.342 0.000 0.522 [2 per cell]
O14 0.373 0.000 0.217 [2 per cell]
O15 0.388 0.000 0.372 [2 per cell]
O16 0.440 0.500 0.722 [2 per cell]
O17 0.441 0.000 0.068 [2 per cell]
O18 0.487 0.500 0.574 [2 per cell]
O19 0.493 0.500 0.430 [2 per cell]

Main lines, by intensity (15° ≤ 2θ ≤ 90°):
h k l, d (Å), I_rel
1 1 -3, 3.267, 100.0
2 0 4, 3.228, 48.3
3 1 1, 2.794, 44.4
4 0 -2, 3.122, 44.2
1 1 7, 1.995, 32.6
5 1 -5, 1.945, 28.3
1 1 2, 3.425, 23.7
2 0 -6, 2.776, 21.4
7 1 -1, 1.649, 20.9
0 2 0, 2.020, 18.9
2 2 4, 1.713, 17.4
4 2 -2, 1.696, 15.4